Simulated XRD peak list
Compound: Ca4SeCl6
Radiation: CuKα
Structure: the PBE geometry in Alexandria

Most intense lines, 15 to 90 degrees two-theta, low angle first:
Position (°2θ)  I (rel.)
16.16  17
22.95  47
24.82  21
31.27  34
37.92  100
44.80  16

Atomic structure:
Cell lengths 9.4835, 9.4835, 6.7211 Å; angles 90.00, 90.00, 90.00 degrees
Fractional positions:
1 Ca 0.0104 0.2500 0.0465
2 Ca 0.2500 0.0104 0.5465
3 Ca 0.2500 0.4896 0.5465
4 Ca 0.4896 0.2500 0.0465
5 Ca 0.5104 0.7500 0.9535
6 Ca 0.7500 0.5104 0.4535
7 Ca 0.7500 0.9896 0.4535
8 Ca 0.9896 0.7500 0.9535
9 Se 0.2500 0.7500 0.7500
10 Se 0.7500 0.2500 0.2500
11 Cl 0.0400 0.5400 0.2500
12 Cl 0.0400 0.9600 0.2500
13 Cl 0.2500 0.2500 0.3057
14 Cl 0.2500 0.2500 0.8057
15 Cl 0.4600 0.5400 0.2500
16 Cl 0.4600 0.9600 0.2500
17 Cl 0.5400 0.0400 0.7500
18 Cl 0.5400 0.4600 0.7500
19 Cl 0.7500 0.7500 0.1943
20 Cl 0.7500 0.7500 0.6943
21 Cl 0.9600 0.0400 0.7500
22 Cl 0.9600 0.4600 0.7500



Simulated XRD peak list
Compound: CaSeCl6
Radiation: CuKα
Structure: the PBE geometry in Alexandria

Most intense lines, 15 to 90 degrees two-theta, low angle first:
Position (°2θ)  I (rel.)
16.53  26
18.68  91
25.59  38
31.42  100
41.30  68
48.53  39

Atomic structure:
Cell lengths 6.9991, 6.9991, 6.9991 Å; angles 55.32, 55.32, 55.32 degrees
Fractional positions:
1 Ca 0.0000 0.0000 0.0000
2 Se 0.5000 0.5000 0.5000
3 Cl 0.1079 0.7221 0.4347
4 Cl 0.2779 0.5653 0.8921
5 Cl 0.4347 0.1079 0.7221
6 Cl 0.5653 0.8921 0.2779
7 Cl 0.7221 0.4347 0.1079
8 Cl 0.8921 0.2779 0.5653



Simulated XRD peak list
Compound: CaSi2Cl
Radiation: CuKα
Structure: the PBE geometry in Alexandria

Most intense lines, 15 to 90 degrees two-theta, low angle first:
Position (°2θ)  I (rel.)
22.46  37
30.25  100
30.54  52
37.35  31
40.52  17
46.38  61

Atomic structure:
Cell lengths 3.9159, 3.9159, 8.2045 Å; angles 103.10, 103.10, 60.01 degrees
Fractional positions:
1 Ca 0.0000 0.0000 0.0000
2 Si 0.2480 0.2480 0.7299
3 Si 0.5548 0.5548 0.6457
4 Cl 0.7269 0.7269 0.1900



Simulated XRD peak list
Compound: Ca5SnCl12
Radiation: CuKα
Structure: the PBE geometry in Alexandria

Most intense lines, 15 to 90 degrees two-theta, low angle first:
Position (°2θ)  I (rel.)
25.65  40
28.29  100
32.26  92
37.21  42
42.79  49
44.10  65

Atomic structure:
Cell lengths 7.2137, 7.2137, 13.0380 Å; angles 90.01, 90.01, 120.13 degrees
Fractional positions:
1 Ca 0.0000 0.0000 0.0000
2 Ca 0.1667 0.8333 0.5000
3 Ca 0.3334 0.6666 0.0000
4 Ca 0.6666 0.3334 0.0000
5 Ca 0.8333 0.1667 0.5000
6 Sn 0.5000 0.5000 0.5000
7 Cl 0.9997 0.3330 0.8936
8 Cl 0.0003 0.6670 0.1064
9 Cl 0.1550 0.1550 0.6103
10 Cl 0.1554 0.5002 0.3898
11 Cl 0.3330 0.9997 0.8936
12 Cl 0.3337 0.3337 0.1066
13 Cl 0.5002 0.1554 0.3898
14 Cl 0.4998 0.8446 0.6102
15 Cl 0.6663 0.6663 0.8934
16 Cl 0.6670 0.0003 0.1064
17 Cl 0.8446 0.4998 0.6102
18 Cl 0.8450 0.8450 0.3897



Simulated XRD peak list
Compound: CaSnCl6
Radiation: CuKα
Structure: the PBE geometry in Alexandria

Most intense lines, 15 to 90 degrees two-theta, low angle first:
Position (°2θ)  I (rel.)
15.78  39
18.40  99
23.79  34
31.44  100
34.26  42
47.33  31

Atomic structure:
Cell lengths 7.0146, 7.0146, 6.5174 Å; angles 97.55, 97.55, 124.20 degrees
Fractional positions:
1 Ca 0.0000 0.0000 0.0000
2 Sn 0.5000 0.5000 0.5000
3 Cl 0.1380 0.4190 0.2728
4 Cl 0.2600 0.2600 0.7331
5 Cl 0.4190 0.1380 0.2728
6 Cl 0.5810 0.8620 0.7272
7 Cl 0.7400 0.7400 0.2669
8 Cl 0.8620 0.5810 0.7272



Simulated XRD peak list
Compound: Ca2TbCl6
Radiation: CuKα
Structure: the PBE geometry in Alexandria

Most intense lines, 15 to 90 degrees two-theta, low angle first:
Position (°2θ)  I (rel.)
15.30  63
18.91  100
26.24  44
29.54  41
37.90  83
47.07  39

Atomic structure:
Cell lengths 6.6375, 6.6375, 11.8593 Å; angles 90.00, 90.00, 90.00 degrees
Fractional positions:
1 Ca 0.0000 0.0000 0.1760
2 Ca 0.0000 0.0000 0.8240
3 Ca 0.5000 0.5000 0.3240
4 Ca 0.5000 0.5000 0.6760
5 Tb 0.0000 0.0000 0.5000
6 Tb 0.5000 0.5000 0.0000
7 Cl 0.2052 0.2052 0.0000
8 Cl 0.2075 0.2075 0.3379
9 Cl 0.2075 0.2075 0.6621
10 Cl 0.2925 0.7075 0.1621
11 Cl 0.2925 0.7075 0.8379
12 Cl 0.2948 0.7052 0.5000
13 Cl 0.7052 0.2948 0.5000
14 Cl 0.7075 0.2925 0.1621
15 Cl 0.7075 0.2925 0.8379
16 Cl 0.7925 0.7925 0.3379
17 Cl 0.7925 0.7925 0.6621
18 Cl 0.7948 0.7948 0.0000



Copy entry 3 word for word.
Simulated XRD peak list
Compound: CaSi2Cl
Radiation: CuKα
Structure: the PBE geometry in Alexandria

Most intense lines, 15 to 90 degrees two-theta, low angle first:
Position (°2θ)  I (rel.)
22.46  37
30.25  100
30.54  52
37.35  31
40.52  17
46.38  61

Atomic structure:
Cell lengths 3.9159, 3.9159, 8.2045 Å; angles 103.10, 103.10, 60.01 degrees
Fractional positions:
1 Ca 0.0000 0.0000 0.0000
2 Si 0.2480 0.2480 0.7299
3 Si 0.5548 0.5548 0.6457
4 Cl 0.7269 0.7269 0.1900



- What is the formula in the fourth record?
  Ca5SnCl12